[1]
KBa2LiF6: computed X-ray powder pattern (Cu Kα, 1.54184 Å), based on the GGA-PBE geometry in Alexandria.

Atomic structure:
Unit cell a=6.045 b=6.729 c=10.426 alpha=90.00 beta=124.78 gamma=90.00
Positions (direct):
K 0.000 0.000 0.000
K 0.000 0.500 0.500
Ba 0.226 0.084 0.746
Ba 0.226 0.416 0.246
Ba 0.774 0.584 0.754
Ba 0.774 0.916 0.254
Li 0.500 0.000 0.500
Li 0.500 0.500 0.000
F 0.155 0.165 0.450
F 0.155 0.335 0.950
F 0.271 0.705 0.430
F 0.271 0.795 0.930
F 0.397 0.049 0.280
F 0.397 0.451 0.780
F 0.603 0.549 0.220
F 0.603 0.951 0.720
F 0.729 0.205 0.070
F 0.729 0.295 0.570
F 0.845 0.665 0.050
F 0.845 0.835 0.550

Most intense lines, 10 to 90 degrees two-theta, most intense first:
19.74 deg, rel. 100
28.66 deg, rel. 91
28.92 deg, rel. 83
44.35 deg, rel. 82
41.46 deg, rel. 70
20.75 deg, rel. 65
28.50 deg, rel. 55
22.25 deg, rel. 49

***

[2]
TlAg6Pd2: computed X-ray powder pattern (Cu Kα, 1.54184 Å), based on the GGA-PBE geometry in Alexandria.

Atomic structure:
Unit cell a=7.327 b=7.327 c=7.588 alpha=115.45 beta=115.45 gamma=86.35
Positions (direct):
Tl 0.168 0.832 0.750
Tl 0.832 0.168 0.250
Ag 0.011 0.208 0.698
Ag 0.086 0.378 0.141
Ag 0.208 0.011 0.198
Ag 0.328 0.573 0.027
Ag 0.378 0.086 0.641
Ag 0.427 0.672 0.473
Ag 0.573 0.328 0.527
Ag 0.622 0.914 0.359
Ag 0.672 0.427 0.973
Ag 0.792 0.989 0.802
Ag 0.914 0.622 0.859
Ag 0.989 0.792 0.302
Pd 0.212 0.423 0.573
Pd 0.423 0.212 0.073
Pd 0.577 0.788 0.927
Pd 0.788 0.577 0.427

Most intense lines, 10 to 90 degrees two-theta, most intense first:
39.48 deg, rel. 100
37.04 deg, rel. 70
37.56 deg, rel. 62
35.82 deg, rel. 50
45.72 deg, rel. 35
45.28 deg, rel. 28
38.81 deg, rel. 19
68.72 deg, rel. 19

***

[3]
AcNd3Cd8: computed X-ray powder pattern (Cu Kα, 1.54184 Å), based on the GGA-PBE geometry in Alexandria.

Atomic structure:
Unit cell a=6.152 b=6.152 c=9.601 alpha=90.00 beta=90.00 gamma=120.00
Positions (direct):
Ac 0.000 0.000 0.000
Nd 0.000 0.000 0.388
Nd 0.667 0.333 0.492
Nd 0.667 0.333 0.868
Cd 0.165 0.329 0.684
Cd 0.165 0.835 0.684
Cd 0.333 0.667 0.435
Cd 0.333 0.667 0.937
Cd 0.504 0.009 0.190
Cd 0.504 0.496 0.190
Cd 0.671 0.835 0.684
Cd 0.991 0.496 0.190

Most intense lines, 10 to 90 degrees two-theta, most intense first:
34.63 deg, rel. 100
34.95 deg, rel. 72
32.64 deg, rel. 68
29.03 deg, rel. 39
53.78 deg, rel. 30
59.33 deg, rel. 30
60.16 deg, rel. 28
55.14 deg, rel. 26

***

[4]
NdSmGaHg: computed X-ray powder pattern (Cu Kα, 1.54184 Å), based on the GGA-PBE geometry in Alexandria.

Atomic structure:
Unit cell a=3.669 b=3.669 c=7.801 alpha=90.00 beta=90.00 gamma=90.00
Positions (direct):
Nd 0.000 0.000 0.000
Sm 0.000 0.000 0.530
Ga 0.500 0.500 0.761
Hg 0.500 0.500 0.273

Most intense lines, 10 to 90 degrees two-theta, most intense first:
33.54 deg, rel. 100
34.57 deg, rel. 50
61.30 deg, rel. 35
49.69 deg, rel. 22
59.28 deg, rel. 18
26.86 deg, rel. 13
70.48 deg, rel. 11
46.57 deg, rel. 9